[1]
Starting from the PBE geometry in Alexandria, the PXRD pattern of Ba2Mg5Zn12 was computed for CuKα.
Kinematic intensities with the Lorentz-polarization factor, no thermal factor.

Peak list (10 most intense, 2θ = 5–70°, most intense first)
2θ (°)	d [Å]	Rel. int.
37.33	2.409	100
32.89	2.723	32
37.56	2.394	28
32.14	2.785	21
41.94	2.154	17
24.65	3.611	17
26.22	3.398	17
67.66	1.385	15
28.95	3.084	12
53.81	1.704	12

```
Ba2Mg5Zn12
1.0
4.823 2.785 4.789
-4.823 2.785 4.789
0.000 -5.569 4.789
Ba Mg Zn
2 5 12
Cartesian
0.000 0.000 2.242
0.000 0.000 12.124
-2.412 -1.392 4.789
0.000 0.000 5.755
-2.412 1.392 9.578
0.000 2.785 4.789
0.000 0.000 8.611
0.000 -2.854 4.637
-2.471 1.427 4.637
-1.360 -2.356 7.183
-2.720 0.000 7.183
-2.471 -1.427 9.729
1.360 -2.356 7.183
-1.360 2.356 7.183
2.471 1.427 4.637
2.720 0.000 7.183
1.360 2.356 7.183
2.471 -1.427 9.729
0.000 2.854 9.729
```


[2]
Starting from the PBE geometry in Alexandria, the PXRD pattern of CrTcTe2 was computed for CuKα.
Kinematic intensities with the Lorentz-polarization factor, no thermal factor.

Peak list (10 most intense, 2θ = 5–70°, most intense first)
2θ (°)	d [Å]	Rel. int.
26.43	3.372	100
42.10	2.146	71
12.70	6.968	41
54.88	1.673	26
47.17	1.927	26
35.37	2.538	23
45.60	1.989	21
67.70	1.384	13
52.54	1.742	9
68.92	1.363	8

```
CrTcTe2
1.0
3.854 0.000 0.000
0.000 3.854 0.000
0.000 0.000 6.968
Cr Tc Te
1 1 2
Cartesian
0.000 0.000 0.000
1.927 1.927 0.000
0.000 1.927 1.839
1.927 0.000 5.128
```


[3]
Starting from the PBE geometry in Alexandria, the PXRD pattern of Er2NiAs2 was computed for CuKα.
Kinematic intensities with the Lorentz-polarization factor, no thermal factor.

Peak list (10 most intense, 2θ = 5–70°, most intense first)
2θ (°)	d [Å]	Rel. int.
31.68	2.824	100
44.39	2.041	68
35.99	2.495	57
25.99	3.428	29
40.96	2.204	26
55.56	1.654	20
58.42	1.580	14
51.91	1.762	13
52.30	1.749	10
61.98	1.497	8

```
Er2NiAs2
1.0
4.081 0.000 0.000
-2.041 3.535 0.000
0.000 0.000 14.092
Er Ni As
4 2 4
Cartesian
0.000 2.356 0.000
0.000 2.356 3.747
2.041 1.178 7.046
2.041 1.178 10.793
0.000 0.000 1.947
0.000 0.000 8.994
0.000 0.000 5.393
0.000 0.000 12.439
0.000 2.356 8.894
2.041 1.178 1.848
```


[4]
Starting from the PBE geometry in Alexandria, the PXRD pattern of LiPrTeS was computed for CuKα.
Kinematic intensities with the Lorentz-polarization factor, no thermal factor.

Peak list (10 most intense, 2θ = 5–70°, most intense first)
2θ (°)	d [Å]	Rel. int.
26.43	3.373	100
27.22	3.277	42
47.62	1.910	40
38.87	2.317	30
32.84	2.727	24
41.57	2.172	22
58.22	1.585	16
46.15	1.967	15
63.47	1.466	15
56.13	1.639	14

```
LiPrTeS
1.0
4.634 0.000 0.000
0.000 4.634 0.000
0.000 0.000 9.837
Li Pr Te S
2 2 2 2
Cartesian
1.158 3.475 0.000
3.475 1.158 0.000
1.158 1.158 3.377
3.475 3.475 6.460
1.158 1.158 8.208
3.475 3.475 1.628
1.158 3.475 4.918
3.475 1.158 4.918
```